Record 1
Starting from a crystal structure in the Materials Project, relaxed with PBE, the powder diffraction line list of Cd4OF6 was simulated for copper Kα.
Intensities are scaled so that the largest is 100.

```
Cd4OF6
1.0
7.6455 0.0000 0.0000
0.0000 7.6455 0.0000
0.0000 0.0000 5.5231
Cd O F
8 2 12
Cartesian
0.0083 1.9114 0.2919
1.9114 0.0083 3.0534
1.9114 3.8144 3.0534
3.8144 1.9114 0.2919
3.8311 5.7341 5.2312
5.7341 3.8311 2.4697
5.7341 7.6371 2.4697
7.6371 5.7341 5.2312
1.9114 5.7341 4.1423
5.7341 1.9114 1.3808
0.2825 4.1052 1.3808
0.2825 7.3630 1.3808
1.9114 1.9114 1.8141
1.9114 1.9114 4.5756
3.5402 4.1052 1.3808
3.5402 7.3630 1.3808
4.1052 0.2825 4.1423
4.1052 3.5402 4.1423
5.7341 5.7341 0.9474
5.7341 5.7341 3.7090
7.3630 0.2825 4.1423
7.3630 3.5402 4.1423
```

The 10 most intense peaks (5° ≤ 2θ ≤ 70°), sorted by position:
19.83°, rel. 7; 28.39°, rel. 100; 32.42°, rel. 5; 33.14°, rel. 20; 42.06°, rel. 11; 47.04°, rel. 27; 47.57°, rel. 19; 56.33°, rel. 28; 56.80°, rel. 7; 58.75°, rel. 5

=====

Record 2
Starting from a crystal structure in the Materials Project, relaxed with PBE, the powder diffraction line list of LaCd2Pd was simulated for copper Kα.
Intensities are scaled so that the largest is 100.

```
LaCd2Pd
1.0
2.1632 -5.1048 0.0000
2.1632 5.1048 0.0000
0.0000 0.0000 8.6484
La Cd Pd
2 4 2
Cartesian
2.1632 4.4427 6.4863
2.1632 -4.4427 2.1621
2.1632 1.4825 4.7335
2.1632 1.4825 8.2390
2.1632 -1.4825 0.4094
2.1632 -1.4825 3.9148
2.1632 2.8530 2.1621
2.1632 -2.8530 6.4863
```

The 10 most intense peaks (5° ≤ 2θ ≤ 70°), sorted by position:
30.51°, rel. 100; 33.50°, rel. 23; 35.12°, rel. 65; 35.77°, rel. 26; 36.71°, rel. 26; 38.55°, rel. 29; 39.62°, rel. 24; 41.06°, rel. 18; 41.76°, rel. 51; 56.13°, rel. 17

=====

Record 3
Starting from a crystal structure in the Materials Project, relaxed with PBE, the powder diffraction line list of Li6CuS4 was simulated for copper Kα.
Intensities are scaled so that the largest is 100.

```
Li6CuS4
1.0
-1.8011 6.5525 3.5944
1.8011 -6.5525 3.5944
1.8011 6.5525 -3.5944
Li Cu S
6 1 4
Cartesian
0.0000 1.5661 0.0000
1.8011 -1.8817 2.3394
1.8011 1.8817 2.3394
0.0000 4.0961 1.4895
0.0000 11.5388 0.0000
0.0000 9.0089 1.4895
0.0000 0.0000 4.1091
0.0000 0.0000 1.9033
1.8011 3.2324 0.1798
0.0000 6.5525 1.8557
0.0000 3.3200 3.7742
```

The 10 most intense peaks (5° ≤ 2θ ≤ 70°), sorted by position:
13.51°, rel. 45; 14.05°, rel. 100; 23.84°, rel. 39; 27.22°, rel. 89; 27.70°, rel. 70; 28.32°, rel. 32; 35.96°, rel. 30; 39.23°, rel. 83; 45.46°, rel. 38; 53.80°, rel. 41

=====

Record 4
Starting from a crystal structure in the Materials Project, relaxed with PBE, the powder diffraction line list of EuAl2Ag3 was simulated for copper Kα.
Intensities are scaled so that the largest is 100.

```
EuAl2Ag3
1.0
5.7734 0.0000 0.0000
-2.8867 4.9999 0.0000
0.0000 0.0000 4.3885
Eu Al Ag
1 2 3
Cartesian
0.0000 0.0000 0.0000
0.0000 3.3333 0.0000
2.8867 1.6666 0.0000
-1.4434 2.5000 2.1942
2.8867 0.0000 2.1942
1.4434 2.5000 2.1942
```

The 10 most intense peaks (5° ≤ 2θ ≤ 70°), sorted by position:
20.24°, rel. 10; 27.03°, rel. 100; 35.92°, rel. 90; 37.28°, rel. 77; 41.14°, rel. 28; 41.57°, rel. 24; 52.74°, rel. 31; 55.74°, rel. 49; 59.31°, rel. 19; 64.57°, rel. 21

=====

Record 5
Starting from a crystal structure in the Materials Project, relaxed with PBE, the powder diffraction line list of Cs3NpCl4O2 was simulated for copper Kα.
Intensities are scaled so that the largest is 100.

```
Cs3NpCl4O2
1.0
7.8359 -3.7231 0.0000
7.8359 3.7231 0.0000
-5.9397 0.0000 11.5993
Cs Np Cl O
6 2 8 4
Cartesian
3.3812 3.0723 8.6995
3.2587 1.3881 4.2815
9.4433 1.3881 1.5181
0.2888 -1.3881 10.0812
6.4735 -1.3881 7.3178
6.3510 -3.0723 2.8998
3.9180 1.8615 0.0000
0.9481 -1.8615 5.7997
0.6581 2.3759 11.0510
6.1042 2.3759 6.3480
1.6620 0.3660 7.2999
4.6319 -0.3660 1.5003
5.1003 0.3660 10.0990
8.0701 -0.3660 4.2994
3.6280 -2.3759 5.2513
9.0740 -2.3759 0.5483
-2.0681 0.8250 10.0683
0.9018 -0.8250 4.2686
8.8304 0.8250 7.3307
11.8002 -0.8250 1.5310
```

The 10 most intense peaks (5° ≤ 2θ ≤ 70°), sorted by position:
12.69°, rel. 25; 14.00°, rel. 19; 20.80°, rel. 73; 22.54°, rel. 19; 24.05°, rel. 100; 29.78°, rel. 45; 31.73°, rel. 19; 34.40°, rel. 18; 36.96°, rel. 20; 44.11°, rel. 20

=====

Record 6
Starting from a crystal structure in the Materials Project, relaxed with PBE, the powder diffraction line list of GaAgS2 was simulated for copper Kα.
Intensities are scaled so that the largest is 100.

```
GaAgS2
1.0
4.0842 -4.0883 0.0000
4.0842 4.0883 0.0000
-3.9992 0.0000 5.2915
Ga Ag S
2 2 4
Cartesian
2.0846 3.0870 2.6458
4.0842 -3.0870 0.0000
0.1973 0.8437 5.2786
2.1969 -0.8437 2.6328
0.2366 3.1531 4.0319
1.9403 1.2475 1.2420
-0.0593 -1.2475 3.8877
2.2362 -3.1531 1.3861
```

The 10 most intense peaks (5° ≤ 2θ ≤ 70°), sorted by position:
27.37°, rel. 50; 27.57°, rel. 100; 27.81°, rel. 53; 30.95°, rel. 28; 44.34°, rel. 39; 46.26°, rel. 36; 46.82°, rel. 36; 52.82°, rel. 28; 53.29°, rel. 13; 56.87°, rel. 17

=====

Record 7
Starting from a crystal structure in the Materials Project, relaxed with PBE, the powder diffraction line list of Na3ZrInSiP2O12 was simulated for copper Kα.
Intensities are scaled so that the largest is 100.

```
Na3ZrInSiP2O12
1.0
7.9395 -4.5594 0.0000
7.9395 4.5594 0.0000
-5.2094 0.0000 7.5284
Na Zr In Si P O
6 2 2 2 4 24
Cartesian
5.3348 3.9429 3.7642
0.0202 1.0314 7.3832
7.9557 1.9600 1.6176
2.6249 -1.0314 3.6190
5.3510 -1.9600 5.3818
7.9395 -3.9429 0.0000
7.8456 2.2151 4.9705
10.4503 -2.2151 1.2063
2.5746 2.2413 5.8389
5.1793 -2.2413 2.0747
4.9266 0.9673 3.4274
2.3219 -0.9673 7.1916
0.1515 0.9330 3.5881
-2.4532 -0.9330 7.3523
10.4726 0.4200 3.6257
7.8679 -0.4200 7.3899
1.0065 1.3508 2.3436
1.1838 3.2376 7.3084
-2.4672 0.6385 7.3330
0.7689 1.4500 4.8969
4.2001 1.5047 2.0334
4.0239 3.1534 7.2864
0.1375 -0.6385 3.5688
4.0291 1.4625 4.6668
-1.5982 -1.3508 6.1078
6.4082 1.7015 3.5260
2.3745 0.6652 7.2457
3.3736 -1.4500 1.1327
1.5954 -1.5047 5.7976
4.9791 -0.6652 3.4815
9.1963 1.3039 3.5413
6.6338 -1.4625 0.9026
7.8342 0.5621 6.1830
3.8035 -1.7015 7.2902
3.7884 -3.2376 3.5442
10.4389 -0.5621 2.4188
13.1496 0.3420 1.1846
6.5916 -1.3039 7.3055
6.6286 -3.1534 3.5222
10.5449 -0.3420 4.9488
```

The 10 most intense peaks (5° ≤ 2θ ≤ 70°), sorted by position:
19.27°, rel. 59; 19.41°, rel. 100; 22.82°, rel. 26; 27.61°, rel. 28; 30.60°, rel. 36; 30.80°, rel. 34; 30.91°, rel. 33; 33.89°, rel. 29; 34.01°, rel. 48; 53.06°, rel. 25

=====

Record 8
Starting from a crystal structure in the Materials Project, relaxed with PBE, the powder diffraction line list of Na2CaZrP2SO12 was simulated for copper Kα.
Intensities are scaled so that the largest is 100.

```
Na2CaZrP2SO12
1.0
7.9818 -4.5722 0.0000
7.9818 4.5722 0.0000
-5.3819 0.0000 7.6727
Na Ca Zr P S O
4 2 2 4 2 24
Cartesian
5.2908 3.9059 3.8363
8.0055 2.1662 1.8516
5.3146 -2.1662 5.6879
7.9818 -3.9059 0.0000
7.7152 2.2934 5.1261
10.4062 -2.2934 1.2897
2.2712 2.3214 5.9596
4.9621 -2.3214 2.1233
-0.0574 0.9827 3.5214
-2.7483 -0.9827 7.3577
10.4125 0.4393 3.6223
7.7216 -0.4393 7.4587
4.6898 0.8604 3.6588
1.9989 -0.8604 7.4951
0.6751 1.2093 2.2174
1.1166 3.3213 7.3934
-3.0416 0.5126 7.5230
0.7681 1.5760 4.7486
-0.3507 -0.5126 3.6866
4.0897 1.3856 2.4453
3.8405 2.8373 7.3567
-2.0158 -1.2093 6.0538
3.8379 1.1782 4.8522
6.0248 1.4663 3.7819
2.1142 0.6335 7.4330
3.4590 -1.5760 0.9122
1.3988 -1.3856 6.2817
4.8052 -0.6335 3.5967
6.5288 -1.1782 1.0159
9.2576 1.4090 3.7327
3.3339 -1.4663 7.6182
7.6353 0.4403 6.2500
3.8075 -3.3213 3.5570
10.3262 -0.4403 2.4136
13.2940 0.4873 1.0809
6.5314 -2.8373 3.5204
6.5667 -1.4090 7.5691
10.6031 -0.4873 4.9173
```

The 10 most intense peaks (5° ≤ 2θ ≤ 70°), sorted by position:
13.54°, rel. 77; 19.09°, rel. 51; 19.30°, rel. 41; 22.47°, rel. 46; 22.62°, rel. 100; 27.26°, rel. 51; 30.24°, rel. 48; 30.43°, rel. 93; 33.89°, rel. 48; 46.19°, rel. 38